1.
For CaSc2Ga6, a PBE-relaxed structure gives the theoretical powder XRD pattern in this record (copper Kα).
Neutral-atom scattering factors, no anomalous dispersion.

Top 12 peaks for 2θ from 10° to 80°, sorted by position:
(1 1 0), 2θ 23.32, I 9; (0 0 1), 2θ 26.41, I 28; (1 1 1), 2θ 35.52, I 100; (3 0 0), 2θ 40.98, I 88; (2 2 0), 2θ 47.68, I 1; (3 0 1), 2θ 49.42, I 30; (0 0 2), 2θ 54.36, I 12; (2 2 1), 2θ 55.33, I 26; (1 1 2), 2θ 59.94, I 2; (3 0 2), 2θ 70.27, I 33; (4 1 1), 2θ 71.11, I 23; (3 3 0), 2θ 74.65, I 14

abc: 7.6288 7.6288 3.3752
angles: 90.00 90.00 120.00
Space group P6/mmm (No. 191)
One atom of each set of equivalent atoms:
Ca: 0.0000 0.0000 0.0000 [1 per cell]
Sc: 0.3333 0.6667 0.0000 [2 per cell]
Ga: 0.0000 0.3371 0.5000 [6 per cell]

2.
For AcYSi2Pt4, a PBE-relaxed structure gives the theoretical powder XRD pattern in this record (copper Kα).
Neutral-atom scattering factors, no anomalous dispersion.

Top 12 peaks for 2θ from 10° to 80°, sorted by position:
(0 0 2), 2θ 18.68, I 22; (1 0 0), 2θ 21.32, I 10; (1 0 2), 2θ 28.50, I 15; (1 1 0), 2θ 30.33, I 10; (1 1 2), 2θ 35.87, I 100; (0 0 4), 2θ 37.89, I 19; (2 0 0), 2θ 43.43, I 33; (2 0 4), 2θ 58.98, I 22; (2 2 0), 2θ 63.11, I 11; (1 1 6), 2θ 67.12, I 16; (3 1 2), 2θ 74.77, I 24; (2 2 4), 2θ 76.02, I 10

abc: 4.167 4.167 9.499
angles: 90.00 90.00 90.00
Space group P4/mmm (No. 123)
One atom of each set of equivalent atoms:
Ac: 0.000 0.000 0.000 [1 per cell]
Y: 0.000 0.000 0.500 [1 per cell]
Si: 0.500 0.500 0.378 [2 per cell]
Pt: 0.000 0.500 0.251 [4 per cell]